KFeSe2: computed powder X-ray diffraction pattern (CuKα), based on a DFT-relaxed cell (GGA-PBE, the Materials Project).

Structure:
```
data_KFeSe2
_chemical_formula_sum 'K4 Fe4 Se8'
_symmetry_space_group_name_H-M 'C 1 2/c 1'
_symmetry_Int_Tables_number 15
_cell_length_a 7.322
_cell_length_b 11.718
_cell_length_c 5.619
_cell_angle_alpha 90.00
_cell_angle_beta 112.49
_cell_angle_gamma 90.00
loop_
_symmetry_equiv_pos_as_xyz
'x,y,z'
'-x,-y,-z'
'-x,y,-z+1/2'
'x,-y,z+1/2'
'x+1/2,y+1/2,z'
'-x+1/2,-y+1/2,-z'
'-x+1/2,y+1/2,-z+1/2'
'x+1/2,-y+1/2,z+1/2'
loop_
_atom_site_label
_atom_site_type_symbol
_atom_site_fract_x
_atom_site_fract_y
_atom_site_fract_z
K1 K 0.000 0.138 0.250
Fe1 Fe 0.000 0.498 0.750
Se1 Se 0.196 0.387 0.099
```

Peak list (6 most intense, 2θ = 5–70°, by angle)
| h k l | 2θ/deg | Rel. int. |
| --- | --- | --- |
| 0 2 0 | 15.12 | 100 |
| 1 1 1 | 26.42 | 69 |
| 2 2 -1 | 29.64 | 88 |
| 1 3 1 | 34.30 | 35 |
| 1 3 -2 | 39.51 | 33 |
| 1 1 2 | 42.54 | 28 |

Rb2AlHgCl6: computed powder X-ray diffraction pattern (CuKα), based on a DFT-relaxed cell (GGA-PBE, the Materials Project).

Structure:
```
data_Rb2AlHgCl6
_chemical_formula_sum 'Rb8 Al4 Hg4 Cl24'
_symmetry_space_group_name_H-M 'F m -3 m'
_symmetry_Int_Tables_number 225
_symmetry_space_group_name_Hall '-F 4 2 3'
_cell_length_a 10.534
_cell_length_b 10.534
_cell_length_c 10.534
_cell_angle_alpha 90.00
_cell_angle_beta 90.00
_cell_angle_gamma 90.00
loop_
_atom_site_label
_atom_site_type_symbol
_atom_site_fract_x
_atom_site_fract_y
_atom_site_fract_z
Rb1 Rb 0.250 0.250 0.250
Al1 Al 0.000 0.000 0.000
Hg1 Hg 0.000 0.000 0.500
Cl1 Cl 0.000 0.000 0.224
```

Peak list (6 most intense, 2θ = 5–70°, by angle)
| h k l | 2θ/deg | Rel. int. |
| --- | --- | --- |
| 1 1 1 | 14.57 | 31 |
| 2 2 0 | 23.89 | 100 |
| 3 1 1 | 28.10 | 40 |
| 4 0 0 | 34.04 | 66 |
| 4 2 2 | 42.02 | 43 |
| 4 4 0 | 48.91 | 43 |

KAlCO5: computed powder X-ray diffraction pattern (CuKα), based on a DFT-relaxed cell (GGA-PBE, the Materials Project).

Structure:
```
data_KAlCO5
_chemical_formula_sum 'K4 Al4 C4 O20'
_symmetry_space_group_name_H-M 'C m c m'
_symmetry_Int_Tables_number 63
_symmetry_space_group_name_Hall '-C 2c 2'
_cell_length_a 6.735
_cell_length_b 11.840
_cell_length_c 5.929
_cell_angle_alpha 90.00
_cell_angle_beta 90.00
_cell_angle_gamma 90.00
loop_
_atom_site_label
_atom_site_type_symbol
_atom_site_fract_x
_atom_site_fract_y
_atom_site_fract_z
K1 K 0.000 0.146 0.250
Al1 Al 0.000 0.500 0.000
C1 C 0.000 0.283 0.750
O1 O 0.000 0.176 0.750
O2 O 0.000 0.336 0.556
O3 O 0.162 0.481 0.250
```

Peak list (6 most intense, 2θ = 5–70°, by angle)
| h k l | 2θ/deg | Rel. int. |
| --- | --- | --- |
| 1 1 0 | 15.13 | 70 |
| 1 3 0 | 26.17 | 51 |
| 2 0 0 | 26.47 | 100 |
| 1 1 2 | 33.88 | 54 |
| 1 3 2 | 40.35 | 47 |
| 3 1 2 | 51.65 | 39 |